No. 1
This entry pairs a crystal structure of BeFeNi14 with its simulated XRD peak list. Radiation: Cu Kα X-rays. Structure: a GGA-PBE-relaxed structure.
No peak broadening, texture or thermal motion is included.

Largest 12 diffraction maxima, sorted by position, 2θ = 15–90°:
h k l, d/Å, Position (°2θ), intensity
1 0 0, 4.968, 17.85, 1
1 0 1, 4.045, 21.98, 2
1 1 0, 3.513, 25.35, 1
1 1 1, 3.137, 28.45, 2
1 0 2, 2.852, 31.37, 1
1 1 2, 2.473, 36.32, 1
2 0 1, 2.340, 38.47, 1
2 0 2, 2.022, 44.82, 100
2 2 0, 1.757, 52.06, 31
0 0 4, 1.741, 52.56, 15
4 0 0, 1.242, 76.73, 9
2 2 4, 1.237, 77.13, 18

Atomic structure:
abc: 4.9684 4.9684 6.9652
angles: 90.00 90.00 90.00
Atoms (fractional coordinates):
Be 0.0000 0.0000 0.0000
Fe 0.5000 0.5000 0.0000
Ni 0.0000 0.0000 0.5000
Ni 0.0000 0.5000 0.0000
Ni 0.0000 0.5000 0.5000
Ni 0.2474 0.2474 0.2466
Ni 0.2474 0.2474 0.7534
Ni 0.2474 0.7526 0.2466
Ni 0.2474 0.7526 0.7534
Ni 0.5000 0.0000 0.0000
Ni 0.5000 0.0000 0.5000
Ni 0.5000 0.5000 0.5000
Ni 0.7526 0.2474 0.2466
Ni 0.7526 0.2474 0.7534
Ni 0.7526 0.7526 0.2466
Ni 0.7526 0.7526 0.7534

=====

No. 2
This entry pairs a crystal structure of Ti2Be5Fe2Ni with its simulated XRD peak list. Radiation: Cu Kα X-rays. Structure: a GGA-PBE-relaxed structure.
No peak broadening, texture or thermal motion is included.

Largest 12 diffraction maxima, sorted by position, 2θ = 15–90°:
h k l, d/Å, Position (°2θ), intensity
2 2 0, 3.016, 29.62, 27
0 0 1, 2.908, 30.74, 77
3 1 0, 2.698, 33.21, 94
3 2 0, 2.366, 38.03, 21
2 2 1, 2.094, 43.21, 25
4 1 0, 2.069, 43.75, 14
3 1 1, 1.978, 45.88, 100
3 2 1, 1.835, 49.67, 26
0 0 2, 1.454, 64.03, 13
4 4 1, 1.339, 70.31, 12
3 1 2, 1.280, 74.06, 15
6 1 1, 1.263, 75.21, 13

Atomic structure:
abc: 8.5314 8.5314 2.9083
angles: 90.00 90.00 90.00
Atoms (fractional coordinates):
Ti 0.1823 0.3177 0.0000
Ti 0.3177 0.8177 0.0000
Ti 0.6823 0.1823 0.0000
Ti 0.8177 0.6823 0.0000
Be 0.0000 0.5000 0.5000
Be 0.0459 0.8089 0.5000
Be 0.1911 0.0459 0.5000
Be 0.3089 0.5459 0.5000
Be 0.4541 0.3089 0.5000
Be 0.5000 0.0000 0.5000
Be 0.5459 0.6911 0.5000
Be 0.6911 0.4541 0.5000
Be 0.8089 0.9541 0.5000
Be 0.9541 0.1911 0.5000
Fe 0.1303 0.6303 0.0000
Fe 0.3697 0.1303 0.0000
Fe 0.6303 0.8697 0.0000
Fe 0.8697 0.3697 0.0000
Ni 0.0000 0.0000 0.0000
Ni 0.5000 0.5000 0.0000